Structure and theoretical PXRD pattern of Tm2Mn17B2 (a PBE-relaxed structure; CuKα).
Lines closer than 0.1° are merged.

Main lines, low angle first (2θ = 15–90°):
30.1°, I 496, hkl 1 1 -2
36.4°, I 464, hkl 1 3 1
38.0°, I 501, hkl 2 2 -2
42.1°, I 890, hkl 2 2 2
42.4°, I 426, hkl 0 4 0
42.6°, I 505, hkl 0 0 3
42.8°, I 1000, hkl 3 3 0
43.6°, I 430, hkl 4 2 0
44.1°, I 660, hkl 4 0 -2
62.3°, I 397, hkl 5 3 1

Crystal structure
```
data_Tm2Mn17B2
_space_group_name_H-M_alt 'C 1 2/m 1'
_space_group_IT_number 12
_cell_length_a 9.5964
_cell_length_b 8.5325
_cell_length_c 6.4359
_cell_angle_alpha 90.00
_cell_angle_beta 98.37
_cell_angle_gamma 90.00
loop_
_space_group_symop_operation_xyz
'x,y,z'
'-x,-y,-z'
'-x,y,-z'
'x,-y,z'
'x+1/2,y+1/2,z'
'-x+1/2,-y+1/2,-z'
'-x+1/2,y+1/2,-z'
'x+1/2,-y+1/2,z'
loop_
_atom_site_label
_atom_site_fract_x
_atom_site_fract_y
_atom_site_fract_z
Tm1 0.1434 0.0000 0.3462
Mn1 0.0000 0.2226 0.0000
Mn2 0.0000 0.5000 0.5000
Mn3 0.0954 0.2612 0.6636
Mn4 0.1060 0.5000 0.8983
Mn5 0.1406 0.3648 0.2720
Mn6 0.1501 0.0000 0.8671
Mn7 0.2500 0.2500 0.0000
B1 0.2500 0.2500 0.5000
```

Structure and theoretical PXRD pattern of UMn10B2 (a PBE-relaxed structure; CuKα).
Lines closer than 0.1° are merged.

Main lines, low angle first (2θ = 15–90°):
22.0°, I 190, hkl 2 0 0
27.6°, I 191, hkl 1 1 2
31.8°, I 389, hkl 2 2 1
33.6°, I 238, hkl 1 3 1
39.5°, I 242, hkl 0 4 0
40.6°, I 358, hkl 0 2 3
42.2°, I 472, hkl 3 1 2
44.9°, I 233, hkl 4 0 0
46.4°, I 295, hkl 0 4 2
46.6°, I 1000, hkl 2 2 3

Crystal structure
```
data_UMn10B2
_space_group_name_H-M_alt 'C m c m'
_space_group_IT_number 63
_space_group_name_Hall '-C 2c 2'
_cell_length_a 8.0797
_cell_length_b 9.1164
_cell_length_c 7.6355
_cell_angle_alpha 90.00
_cell_angle_beta 90.00
_cell_angle_gamma 90.00
loop_
_atom_site_label
_atom_site_fract_x
_atom_site_fract_y
_atom_site_fract_z
U1 0.0000 0.1113 0.2500
Mn1 0.0000 0.1783 0.5929
Mn2 0.0000 0.3865 0.0665
Mn3 0.1389 0.3927 0.7500
Mn4 0.2189 0.0000 0.0000
Mn5 0.2435 0.3571 0.2500
B1 0.2500 0.2500 0.0000
```

Structure and theoretical PXRD pattern of YMn9B4 (a PBE-relaxed structure; CuKα).
Lines closer than 0.1° are merged.

Main lines, low angle first (2θ = 15–90°):
28.5°, I 318, hkl 2 1 1
31.8°, I 264, hkl 0 0 4
36.3°, I 145, hkl 1 1 4
36.5°, I 133, hkl 2 1 3
40.5°, I 123, hkl 2 0 4
42.3°, I 1000, hkl 3 1 2
48.5°, I 122, hkl 0 0 6
49.1°, I 252, hkl 2 1 5
51.3°, I 337, hkl 3 2 3
52.4°, I 116, hkl 4 1 1

Crystal structure
```
data_YMn9B4
_space_group_name_H-M_alt 'I 4/m c m'
_space_group_IT_number 140
_space_group_name_Hall '-I 4 2c'
_cell_length_a 7.2938
_cell_length_b 7.2938
_cell_length_c 11.2649
_cell_angle_alpha 90.00
_cell_angle_beta 90.00
_cell_angle_gamma 90.00
loop_
_atom_site_label
_atom_site_fract_x
_atom_site_fract_y
_atom_site_fract_z
Y1 0.0000 0.0000 0.2500
Mn1 0.0000 0.5000 0.0000
Mn2 0.0806 0.1874 0.0000
Mn3 0.1317 0.3683 0.1809
B1 0.1655 0.3345 0.3724
```

Structure and theoretical PXRD pattern of Y2MnB10 (a PBE-relaxed structure; CuKα).
Lines closer than 0.1° are merged.

Main lines, low angle first (2θ = 15–90°):
22.4°, I 504, hkl 1 2 0
27.9°, I 226, hkl 1 1 1
31.2°, I 1000, hkl 1 2 1
32.0°, I 138, hkl 0 4 0
38.7°, I 449, hkl 2 0 1
38.8°, I 532, hkl 0 4 1
43.6°, I 192, hkl 0 0 2
45.8°, I 280, hkl 2 4 0
49.6°, I 266, hkl 1 2 2
65.1°, I 125, hkl 2 4 2

Crystal structure
```
data_Y2MnB10
_space_group_name_H-M_alt 'P b a m'
_space_group_IT_number 55
_cell_length_a 5.6183
_cell_length_b 11.1915
_cell_length_c 4.1489
_cell_angle_alpha 90.00
_cell_angle_beta 90.00
_cell_angle_gamma 90.00
loop_
_space_group_symop_operation_xyz
'x,y,z'
'-x,-y,-z'
'-x,-y,z'
'x,y,-z'
'x+1/2,-y+1/2,-z'
'-x+1/2,y+1/2,z'
'-x+1/2,y+1/2,-z'
'x+1/2,-y+1/2,z'
loop_
_atom_site_label
_atom_site_fract_x
_atom_site_fract_y
_atom_site_fract_z
Y1 0.2117 0.1329 0.0000
Mn1 0.0000 0.5000 0.5000
B1 0.0379 0.3128 0.5000
B2 0.1276 0.9611 0.5000
B3 0.1496 0.8023 0.5000
B4 0.2083 0.3856 0.2013
```

Structure and theoretical PXRD pattern of BMo (a PBE-relaxed structure; CuKα).
Lines closer than 0.1° are merged.

Main lines, low angle first (2θ = 15–90°):
32.6°, I 906, hkl 1 0 3
39.0°, I 916, hkl 1 0 5
42.2°, I 1000, hkl 1 1 2
42.4°, I 294, hkl 0 0 8
47.3°, I 328, hkl 1 0 7
59.0°, I 309, hkl 2 0 0
69.1°, I 203, hkl 2 1 3
69.6°, I 277, hkl 1 1 10
73.0°, I 279, hkl 2 1 5
75.3°, I 209, hkl 2 0 8

Crystal structure
```
data_BMo
_space_group_name_H-M_alt 'I 41/a m d'
_space_group_IT_number 141
_cell_length_a 3.1312
_cell_length_b 3.1312
_cell_length_c 17.0654
_cell_angle_alpha 90.00
_cell_angle_beta 90.00
_cell_angle_gamma 90.00
loop_
_space_group_symop_operation_xyz
'x,y,z'
'-x,-y,-z'
'-y+1/4,x+3/4,z+1/4'
'y+1/4,-x+3/4,-z+1/4'
'-x+1/2,-y,z+1/2'
'x+1/2,y,-z+1/2'
'y+1/4,-x+1/4,z+3/4'
'-y+1/4,x+1/4,-z+3/4'
'x,-y,-z'
'-x,y,z'
'-y+1/4,-x+1/4,-z+3/4'
'y+1/4,x+1/4,z+3/4'
'-x+1/2,y,-z+1/2'
'x+1/2,-y,z+1/2'
'y+1/4,x+3/4,-z+1/4'
'-y+1/4,-x+3/4,z+1/4'
'x+1/2,y+1/2,z+1/2'
'-x+1/2,-y+1/2,-z+1/2'
'-y+3/4,x+1/4,z+3/4'
'y+3/4,-x+1/4,-z+3/4'
'-x,-y+1/2,z'
'x,y+1/2,-z'
'y+3/4,-x+3/4,z+1/4'
'-y+3/4,x+3/4,-z+1/4'
'x+1/2,-y+1/2,-z+1/2'
'-x+1/2,y+1/2,z+1/2'
'-y+3/4,-x+3/4,-z+1/4'
'y+3/4,x+3/4,z+1/4'
'-x,y+1/2,-z'
'x,-y+1/2,z'
'y+3/4,x+1/4,-z+3/4'
'-y+3/4,-x+1/4,z+3/4'
loop_
_atom_site_label
_atom_site_fract_x
_atom_site_fract_y
_atom_site_fract_z
B1 0.0000 0.2500 0.0300
Mo1 0.0000 0.2500 0.1782
```

Structure and theoretical PXRD pattern of B24Mo7 (a PBE-relaxed structure; CuKα).
Lines closer than 0.1° are merged.

Main lines, low angle first (2θ = 15–90°):
24.4°, I 1000, hkl 1 0 2
29.0°, I 194, hkl 0 0 4
34.3°, I 567, hkl 1 1 0
42.5°, I 220, hkl 2 0 2
45.5°, I 853, hkl 1 1 4
48.7°, I 143, hkl 1 0 6
55.7°, I 193, hkl 2 1 2
61.4°, I 205, hkl 3 0 0
71.0°, I 133, hkl 1 1 8
79.7°, I 160, hkl 2 2 4

Crystal structure
```
data_B24Mo7
_space_group_name_H-M_alt 'P -6 m 2'
_space_group_IT_number 187
_space_group_name_Hall 'P -6 2'
_cell_length_a 5.2302
_cell_length_b 5.2302
_cell_length_c 12.3174
_cell_angle_alpha 90.00
_cell_angle_beta 90.00
_cell_angle_gamma 120.00
loop_
_atom_site_label
_atom_site_fract_x
_atom_site_fract_y
_atom_site_fract_z
B1 0.9996 0.3323 0.1183
B2 0.3327 0.0017 0.3721
Mo1 0.0000 0.0000 0.0000
Mo2 0.0000 0.0000 0.5000
Mo3 0.3333 0.6667 0.2467
Mo4 0.3333 0.6667 0.5000
Mo5 0.6667 0.3333 0.2442
```

Structure and theoretical PXRD pattern of B2Mo3 (a PBE-relaxed structure; CuKα).
Lines closer than 0.1° are merged.

Main lines, low angle first (2θ = 15–90°):
30.9°, I 346, hkl 1 0 1
36.3°, I 441, hkl 0 2 0
39.9°, I 529, hkl 0 1 3
41.6°, I 1000, hkl 1 1 2
48.4°, I 265, hkl 1 2 1
67.7°, I 124, hkl 0 3 3
68.6°, I 126, hkl 1 0 5
68.9°, I 184, hkl 1 3 2
73.8°, I 168, hkl 2 1 3
80.1°, I 192, hkl 1 2 5

Crystal structure
```
data_B2Mo3
_space_group_name_H-M_alt 'I m m m'
_space_group_IT_number 71
_space_group_name_Hall '-I 2 2'
_cell_length_a 3.1243
_cell_length_b 4.9515
_cell_length_c 7.6100
_cell_angle_alpha 90.00
_cell_angle_beta 90.00
_cell_angle_gamma 90.00
loop_
_atom_site_label
_atom_site_fract_x
_atom_site_fract_y
_atom_site_fract_z
B1 0.0000 0.1764 0.0000
Mo1 0.0000 0.0000 0.5000
Mo2 0.0000 0.5000 0.3014
```

Structure and theoretical PXRD pattern of B4Mo (a PBE-relaxed structure; CuKα).
Lines closer than 0.1° are merged.

Main lines, low angle first (2θ = 15–90°):
25.4°, I 1000, hkl 1 0 1
32.6°, I 405, hkl 1 1 0
37.0°, I 111, hkl 1 1 1
41.7°, I 261, hkl 2 0 1
48.2°, I 482, hkl 1 1 2
53.9°, I 237, hkl 2 1 1
56.5°, I 103, hkl 1 0 3
58.1°, I 171, hkl 3 0 0
74.0°, I 91, hkl 3 1 1
78.7°, I 111, hkl 2 2 2

Crystal structure
```
data_B4Mo
_space_group_name_H-M_alt 'P 6/m m m'
_space_group_IT_number 191
_space_group_name_Hall '-P 6 2'
_cell_length_a 5.5014
_cell_length_b 5.5014
_cell_length_c 5.1960
_cell_angle_alpha 90.00
_cell_angle_beta 90.00
_cell_angle_gamma 120.00
loop_
_atom_site_label
_atom_site_fract_x
_atom_site_fract_y
_atom_site_fract_z
B1 0.0000 0.3393 0.2167
Mo1 0.0000 0.0000 0.0000
Mo2 0.3333 0.6667 0.5000
```

Structure and theoretical PXRD pattern of Nb3B4Mo3 (a PBE-relaxed structure; CuKα).
Lines closer than 0.1° are merged.

Main lines, low angle first (2θ = 15–90°):
32.7°, I 303, hkl 0 3 1
32.9°, I 297, hkl 0 1 3
34.3°, I 263, hkl 1 2 0
34.4°, I 260, hkl 1 0 2
40.4°, I 1000, hkl 1 2 2
43.1°, I 368, hkl 1 3 1
43.2°, I 367, hkl 1 1 3
47.0°, I 226, hkl 0 4 2
47.2°, I 234, hkl 0 2 4
56.2°, I 179, hkl 2 0 0

Crystal structure
```
data_Nb3B4Mo3
_space_group_name_H-M_alt 'A m m 2'
_space_group_IT_number 38
_cell_length_a 3.2755
_cell_length_b 8.6615
_cell_length_c 8.5920
_cell_angle_alpha 90.00
_cell_angle_beta 90.00
_cell_angle_gamma 90.00
loop_
_space_group_symop_operation_xyz
'x,y,z'
'-x,-y,z'
'-x,y,z'
'x,-y,z'
'x,y+1/2,z+1/2'
'-x,-y+1/2,z+1/2'
'-x,y+1/2,z+1/2'
'x,-y+1/2,z+1/2'
loop_
_atom_site_label
_atom_site_fract_x
_atom_site_fract_y
_atom_site_fract_z
Nb1 0.0000 0.0000 0.0000
Nb2 0.0000 0.1782 0.3243
B1 0.5000 0.0000 0.2139
B2 0.5000 0.0000 0.4363
B3 0.5000 0.1079 0.8208
Mo1 0.0000 0.0000 0.6468
Mo2 0.5000 0.2488 0.5746
```